AcSi2TeO8: calculated powder X-ray diffraction pattern (a wavelength of 1.5418 Å), based on a cell relaxed with PBE.
Neutral-atom scattering factors, no anomalous dispersion.

Structure:
```
data_AcSi2TeO8
_chemical_formula_sum 'Ac3 Si6 Te3 O24'
_cell_length_a 4.8511
_cell_length_b 4.8511
_cell_length_c 22.9470
_cell_angle_alpha 90.00
_cell_angle_beta 90.00
_cell_angle_gamma 120.00
_space_group_name_H-M_alt 'R 3 2'
_space_group_IT_number 155
_space_group_name_Hall 'R 3 2"'
loop_
_atom_site_label
_atom_site_type_symbol
_atom_site_fract_x
_atom_site_fract_y
_atom_site_fract_z
Ac1 Ac 0.0000 0.0000 0.0000
Si1 Si 0.0000 0.0000 0.2463
Te1 Te 0.0000 0.0000 0.5000
O1 O 0.0000 0.0000 0.3170
O2 O 0.0026 0.3481 0.8922
```

Largest 12 diffraction maxima, in order of rising 2θ, 15 to 90 degrees two-theta:
2θ (°), Rel. int., index
22.54, 58.6, 0 1 2
23.26, 16.9, 0 0 6
26.29, 100.0, 1 0 4
37.06, 38.9, 1 1 0
37.98, 31.3, 0 1 8
44.22, 36.4, 1 1 6
45.01, 13.2, 1 0 10
46.01, 20.5, 0 2 4
54.12, 12.0, 2 0 8
60.50, 19.0, 2 1 4
61.78, 20.7, 1 1 12
67.41, 12.4, 1 2 8

***

PmPu5Ir3: calculated powder X-ray diffraction pattern (a wavelength of 1.5418 Å), based on a cell relaxed with PBE.
Neutral-atom scattering factors, no anomalous dispersion.

Structure:
```
data_PmPu5Ir3
_chemical_formula_sum 'Pm4 Pu20 Ir12'
_cell_length_a 11.919
_cell_length_b 8.183
_cell_length_c 9.942
_cell_angle_alpha 90.00
_cell_angle_beta 100.67
_cell_angle_gamma 90.00
_space_group_name_H-M_alt 'C 1 2/m 1'
_space_group_IT_number 12
loop_
_space_group_symop_operation_xyz
'x,y,z'
'-x,-y,-z'
'-x,y,-z'
'x,-y,z'
'x+1/2,y+1/2,z'
'-x+1/2,-y+1/2,-z'
'-x+1/2,y+1/2,-z'
'x+1/2,-y+1/2,z'
loop_
_atom_site_label
_atom_site_type_symbol
_atom_site_fract_x
_atom_site_fract_y
_atom_site_fract_z
Pm1 Pm 0.144 0.000 0.307
Pu1 Pu 0.000 0.318 0.000
Pu2 Pu 0.113 0.500 0.455
Pu3 Pu 0.137 0.188 0.705
Pu4 Pu 0.234 0.000 0.020
Ir1 Ir 0.000 0.000 0.000
Ir2 Ir 0.000 0.000 0.500
Ir3 Ir 0.086 0.500 0.759
Ir4 Ir 0.162 0.500 0.198
```

Largest 12 diffraction maxima, in order of rising 2θ, 15 to 90 degrees two-theta:
2θ (°), Rel. int., index
21.72, 54.2, 0 2 0
29.05, 100.0, 2 2 1
32.61, 33.5, 4 0 -2
33.54, 38.4, 4 0 1
34.23, 73.1, 3 1 -3
34.62, 42.0, 1 3 -1
36.80, 41.1, 0 0 4
38.67, 44.9, 4 0 2
39.28, 39.2, 1 3 2
40.33, 56.1, 3 3 0
43.58, 25.2, 4 2 -3
44.28, 24.0, 0 4 0

***

DyY14Zr: calculated powder X-ray diffraction pattern (a wavelength of 1.5418 Å), based on a cell relaxed with PBE.
Neutral-atom scattering factors, no anomalous dispersion.

Structure:
```
data_DyY14Zr
_chemical_formula_sum 'Dy1 Y14 Zr1'
_cell_length_a 7.098
_cell_length_b 7.098
_cell_length_c 9.980
_cell_angle_alpha 90.00
_cell_angle_beta 90.00
_cell_angle_gamma 90.00
_space_group_name_H-M_alt 'P 4/m m m'
_space_group_IT_number 123
_space_group_name_Hall '-P 4 2'
loop_
_atom_site_label
_atom_site_type_symbol
_atom_site_fract_x
_atom_site_fract_y
_atom_site_fract_z
Dy1 Dy 0.000 0.000 0.000
Y1 Y 0.000 0.000 0.500
Y2 Y 0.000 0.500 0.000
Y3 Y 0.000 0.500 0.500
Y4 Y 0.255 0.255 0.244
Y5 Y 0.500 0.500 0.500
Zr1 Zr 0.500 0.500 0.000
```

Largest 12 diffraction maxima, in order of rising 2θ, 15 to 90 degrees two-theta:
2θ (°), Rel. int., index
30.92, 100.0, 2 0 2
35.78, 33.5, 2 2 0
36.00, 16.3, 0 0 4
51.50, 11.5, 4 0 0
51.66, 22.6, 2 2 4
61.29, 26.7, 4 2 2
61.58, 12.9, 2 0 6
64.43, 11.3, 4 0 4
84.09, 5.3, 6 0 2
84.35, 10.4, 4 2 6
86.77, 5.0, 6 2 0
86.90, 4.9, 4 4 4

***

Ac2ScSi2: calculated powder X-ray diffraction pattern (a wavelength of 1.5418 Å), based on a cell relaxed with PBE.
Neutral-atom scattering factors, no anomalous dispersion.

Structure:
```
data_Ac2ScSi2
_chemical_formula_sum 'Ac8 Sc4 Si8'
_cell_length_a 7.623
_cell_length_b 7.623
_cell_length_c 9.511
_cell_angle_alpha 90.00
_cell_angle_beta 90.00
_cell_angle_gamma 90.00
_space_group_name_H-M_alt 'P 4/m n c'
_space_group_IT_number 128
_space_group_name_Hall '-P 4 2n'
loop_
_atom_site_label
_atom_site_type_symbol
_atom_site_fract_x
_atom_site_fract_y
_atom_site_fract_z
Ac1 Ac 0.179 0.320 0.000
Sc1 Sc 0.000 0.000 0.250
Si1 Si 0.116 0.616 0.250
```

Largest 12 diffraction maxima, in order of rising 2θ, 15 to 90 degrees two-theta:
2θ (°), Rel. int., index
18.66, 42.7, 0 0 2
23.34, 23.6, 2 0 0
26.14, 51.2, 2 1 0
30.05, 54.9, 2 0 2
32.31, 100.0, 2 1 2
37.30, 18.1, 3 1 0
37.84, 20.1, 0 0 4
46.57, 22.8, 2 1 4
49.29, 20.8, 4 1 0
53.15, 30.8, 4 1 2
54.60, 18.8, 3 3 2
63.77, 19.6, 4 1 4

***

Pm2AlTlO6: calculated powder X-ray diffraction pattern (a wavelength of 1.5418 Å), based on a cell relaxed with PBE.
Neutral-atom scattering factors, no anomalous dispersion.

Structure:
```
data_Pm2AlTlO6
_chemical_formula_sum 'Pm2 Al1 Tl1 O6'
_cell_length_a 5.343
_cell_length_b 5.343
_cell_length_c 5.094
_cell_angle_alpha 90.00
_cell_angle_beta 90.00
_cell_angle_gamma 90.00
_space_group_name_H-M_alt 'P 4 m m'
_space_group_IT_number 99
loop_
_space_group_symop_operation_xyz
'x,y,z'
'-y,x,z'
'-x,-y,z'
'y,-x,z'
'-x,y,z'
'y,x,z'
'x,-y,z'
'-y,-x,z'
loop_
_atom_site_label
_atom_site_type_symbol
_atom_site_fract_x
_atom_site_fract_y
_atom_site_fract_z
Pm1 Pm 0.000 0.500 0.000
Al1 Al 0.000 0.000 0.595
Tl1 Tl 0.500 0.500 0.549
O1 O 0.000 0.000 0.241
O2 O 0.233 0.233 0.731
O3 O 0.500 0.500 0.134
```

Largest 12 diffraction maxima, in order of rising 2θ, 15 to 90 degrees two-theta:
2θ (°), Rel. int., index
16.59, 20.6, 1 0 0
24.14, 16.9, 1 0 1
29.44, 100.0, 1 1 1
33.55, 34.4, 2 0 0
35.24, 11.2, 0 0 2
41.76, 9.1, 2 1 1
48.17, 19.3, 2 2 0
49.44, 26.9, 2 0 2
57.47, 31.0, 3 1 1
59.71, 11.9, 1 1 3
61.08, 9.9, 2 2 2
80.14, 10.2, 3 1 3